Diffraction record for MgV2O4. The X-ray powder pattern is computed, not measured: it uses DFT lattice parameters and positions (PBE+U) and Cu Kα, 1.54184 Å.
Intensities are scaled so that the largest is 100.

Atomic structure:
a = 10.4521 Å, b = 6.0898 Å, c = 14.7888 Å
α = 90.00°, β = 90.38°, γ = 90.00°
Space group Cm (No. 8)
One atom of each set of equivalent atoms:
Mg (0.0000, 0.0000, 0.0000) (multiplicity 2)
Mg (0.0013, 0.5000, 0.4998) (multiplicity 2)
Mg (0.1665, 0.5000, 0.3332) (multiplicity 2)
Mg (0.1670, 0.0000, 0.8337) (multiplicity 2)
Mg (0.3339, 0.0000, 0.6668) (multiplicity 2)
Mg (0.4967, 0.0000, 0.1244) (multiplicity 2)
V (0.0041, 0.5000, 0.8773) (multiplicity 2)
V (0.0838, 0.2502, 0.6669) (multiplicity 4)
V (0.1648, 0.0000, 0.4577) (multiplicity 2)
V (0.1712, 0.0000, 0.2074) (multiplicity 2)
V (0.2515, 0.2508, 0.9992) (multiplicity 4)
V (0.3301, 0.5000, 0.7890) (multiplicity 2)
V (0.3342, 0.5000, 0.1636) (multiplicity 2)
V (0.3378, 0.5000, 0.5431) (multiplicity 2)
V (0.4185, 0.2475, 0.3336) (multiplicity 4)
O (0.0037, 0.5000, 0.7437) (multiplicity 2)
O (0.0075, 0.0000, 0.7458) (multiplicity 2)
O (0.0770, 0.2610, 0.4127) (multiplicity 4)
O (0.0913, 0.2381, 0.9207) (multiplicity 4)
O (0.1608, 0.5000, 0.5871) (multiplicity 2)
O (0.1641, 0.0000, 0.5903) (multiplicity 2)
O (0.1718, 0.0000, 0.0753) (multiplicity 2)
O (0.1794, 0.5000, 0.0814) (multiplicity 2)
O (0.2418, 0.2386, 0.7455) (multiplicity 4)
O (0.2589, 0.2636, 0.2522) (multiplicity 4)
O (0.3272, 0.0000, 0.9196) (multiplicity 2)
O (0.3291, 0.5000, 0.9219) (multiplicity 2)
O (0.3389, 0.5000, 0.4087) (multiplicity 2)
O (0.3409, 0.0000, 0.4138) (multiplicity 2)
O (0.4072, 0.2677, 0.0794) (multiplicity 4)
O (0.4258, 0.2389, 0.5874) (multiplicity 4)
O (0.4919, 0.5000, 0.2497) (multiplicity 2)
O (0.4954, 0.0000, 0.2608) (multiplicity 2)

Top 6 peaks for 2θ from 10° to 80°, sorted by position:
two_theta	I (rel.)
29.54	79
34.62	100
34.73	57
34.90	49
42.09	40
61.35	80